(1)
Calculated X-ray diffraction stick pattern
Compound: CeSnTe3
Radiation: Cu Kα, 1.54184 Å
Structure: a structure optimized by DFT (PBE)
No peak broadening, texture or thermal motion is included.

Atomic structure:
Cell: 8.268 7.965 11.082 Å, 90.00 116.66 90.00°
Space group P2_1/c (No. 14)
Symmetry-distinct sites (fractional):
Ce1 0.056 0.217 0.189 [4 per cell]
Sn1 0.468 0.726 0.604 [4 per cell]
Te1 0.129 0.595 0.118 [4 per cell]
Te2 0.230 0.078 0.988 [4 per cell]
Te3 0.311 0.603 0.838 [4 per cell]

Main lines, by angle (10° ≤ 2θ ≤ 90°):
d 3.104, 28.77°, rel. 100.0, hkl 1 2 1; d 3.053, 29.26°, rel. 90.3, hkl 2 1 -3; d 2.708, 33.07°, rel. 48.1, hkl 2 2 0; d 2.600, 34.49°, rel. 91.4, hkl 3 1 -2; d 2.381, 37.79°, rel. 73.5, hkl 1 3 -2; d 2.364, 38.06°, rel. 29.7, hkl 0 1 4


(2)
Calculated X-ray diffraction stick pattern
Compound: La14InHg
Radiation: Cu Kα, 1.54184 Å
Structure: a structure optimized by DFT (PBE)
No peak broadening, texture or thermal motion is included.

Atomic structure:
Cell: 7.221 7.221 10.495 Å, 90.00 90.00 90.00°
Space group P4/mmm (No. 123)
Symmetry-distinct sites (fractional):
La1 0.000 0.000 0.000 [1 per cell]
La2 0.000 0.500 0.000 [2 per cell]
La3 0.000 0.500 0.500 [2 per cell]
La4 0.250 0.250 0.257 [8 per cell]
La5 0.500 0.500 0.000 [1 per cell]
In1 0.000 0.000 0.500 [1 per cell]
Hg1 0.500 0.500 0.500 [1 per cell]

Main lines, by angle (10° ≤ 2θ ≤ 90°):
d 2.974, 30.04°, rel. 100.0, hkl 2 0 2; d 2.624, 34.18°, rel. 17.6, hkl 0 0 4; d 2.553, 35.15°, rel. 33.1, hkl 2 2 0; d 1.830, 49.84°, rel. 24.1, hkl 2 2 4; d 1.574, 58.65°, rel. 14.5, hkl 2 0 6; d 1.543, 59.94°, rel. 28.0, hkl 4 2 2


(3)
Calculated X-ray diffraction stick pattern
Compound: Tb2HoTmTh
Radiation: Cu Kα, 1.54184 Å
Structure: a structure optimized by DFT (PBE)
No peak broadening, texture or thermal motion is included.

Atomic structure:
Cell: 8.475 6.301 6.296 Å, 90.00 96.01 90.00°
Space group P2/c (No. 13)
Symmetry-distinct sites (fractional):
Tb1 0.188 0.201 0.281 [4 per cell]
Ho1 0.500 0.500 0.000 [2 per cell]
Tm1 0.000 0.316 0.750 [2 per cell]
Th1 0.500 0.052 0.750 [2 per cell]

Main lines, by angle (10° ≤ 2θ ≤ 90°):
d 3.177, 28.09°, rel. 35.1, hkl 2 1 -1; d 3.131, 28.51°, rel. 29.7, hkl 0 0 2; d 2.951, 30.29°, rel. 100.0, hkl 1 2 0; d 2.810, 31.84°, rel. 26.2, hkl 3 0 0; d 2.804, 31.92°, rel. 25.6, hkl 0 1 2; d 2.589, 34.65°, rel. 25.9, hkl 1 1 2


(4)
Calculated X-ray diffraction stick pattern
Compound: Nd2Y12Er
Radiation: Cu Kα, 1.54184 Å
Structure: a structure optimized by DFT (PBE)
No peak broadening, texture or thermal motion is included.

Atomic structure:
Cell: 3.547 5.706 24.898 Å, 90.00 90.00 90.00°
Space group Pmmm (No. 47)
Symmetry-distinct sites (fractional):
Nd1 0.000 0.000 0.233 [2 per cell]
Y1 0.000 0.500 0.062 [2 per cell]
Y2 0.000 0.500 0.424 [2 per cell]
Y3 0.500 0.000 0.085 [2 per cell]
Y4 0.500 0.000 0.375 [2 per cell]
Y5 0.500 0.500 0.173 [2 per cell]
Y6 0.500 0.500 0.302 [2 per cell]
Er1 0.000 0.000 0.500 [1 per cell]

Main lines, by angle (10° ≤ 2θ ≤ 90°):
d 3.018, 29.60°, rel. 68.9, hkl 0 1 7; d 2.928, 30.53°, rel. 84.7, hkl 1 1 2; d 2.853, 31.35°, rel. 100.0, hkl 0 2 0; d 2.732, 32.78°, rel. 86.0, hkl 0 1 8; d 2.712, 33.03°, rel. 81.1, hkl 1 1 4; d 2.438, 36.87°, rel. 46.5, hkl 1 1 6


Copy entry 4 word for word.
Calculated X-ray diffraction stick pattern
Compound: Nd2Y12Er
Radiation: Cu Kα, 1.54184 Å
Structure: a structure optimized by DFT (PBE)
No peak broadening, texture or thermal motion is included.

Atomic structure:
Cell: 3.547 5.706 24.898 Å, 90.00 90.00 90.00°
Space group Pmmm (No. 47)
Symmetry-distinct sites (fractional):
Nd1 0.000 0.000 0.233 [2 per cell]
Y1 0.000 0.500 0.062 [2 per cell]
Y2 0.000 0.500 0.424 [2 per cell]
Y3 0.500 0.000 0.085 [2 per cell]
Y4 0.500 0.000 0.375 [2 per cell]
Y5 0.500 0.500 0.173 [2 per cell]
Y6 0.500 0.500 0.302 [2 per cell]
Er1 0.000 0.000 0.500 [1 per cell]

Main lines, by angle (10° ≤ 2θ ≤ 90°):
d 3.018, 29.60°, rel. 68.9, hkl 0 1 7; d 2.928, 30.53°, rel. 84.7, hkl 1 1 2; d 2.853, 31.35°, rel. 100.0, hkl 0 2 0; d 2.732, 32.78°, rel. 86.0, hkl 0 1 8; d 2.712, 33.03°, rel. 81.1, hkl 1 1 4; d 2.438, 36.87°, rel. 46.5, hkl 1 1 6